For PuThTeSe2, a structure optimized by DFT (GGA-PBE) gives the computed X-ray powder pattern in this record (Cu Kα (weighted mean of Kα1 and Kα2)).

Structure:
Unit cell a=4.6351 b=4.6351 c=13.8697 alpha=90.00 beta=90.00 gamma=90.00
Fractional coordinates of all 10 atoms:
Pu 0.0000 0.0000 0.0000
Pu 0.5000 0.5000 0.5000
Th 0.0000 0.0000 0.2532
Th 0.5000 0.5000 0.7532
Te 0.0000 0.0000 0.6307
Te 0.5000 0.5000 0.1307
Se 0.0000 0.5000 0.3762
Se 0.0000 0.5000 0.8762
Se 0.5000 0.0000 0.3762
Se 0.5000 0.0000 0.8762

The 12 most intense peaks (2θ from 10° to 90°), in order of falling intensity:
| 2θ/deg | I_rel |
| --- | --- |
| 27.2 | 1000 |
| 37.8 | 615 |
| 48.1 | 374 |
| 38.9 | 365 |
| 20.2 | 256 |
| 30.2 | 199 |
| 55.3 | 179 |
| 69.6 | 166 |
| 67.5 | 145 |
| 56.1 | 127 |
| 63.5 | 126 |
| 77.0 | 112 |